Diffraction record for CuMo2P. The powder diffraction line list is computed, not measured: it uses the GGA-PBE geometry in Alexandria and Cu Kα (weighted mean of Kα1 and Kα2).
Neutral-atom scattering factors, no anomalous dispersion.

Largest 10 diffraction maxima, low angle first, 10° ≤ 2θ ≤ 90°:
- 30.31°, rel. 23, hkl 0 1 1
- 38.83°, rel. 100, hkl 1 1 0
- 40.71°, rel. 52, hkl 1 0 -2
- 45.13°, rel. 51, hkl 0 1 2
- 47.64°, rel. 11, hkl 1 1 -2
- 48.44°, rel. 25, hkl 0 2 0
- 59.66°, rel. 13, hkl 2 0 -1
- 65.08°, rel. 25, hkl 1 2 -2
- 77.83°, rel. 25, hkl 2 1 1
- 80.30°, rel. 11, hkl 2 2 -1

```
data_CuMo2P
_chemical_formula_sum 'Cu1 Mo2 P1'
_symmetry_space_group_name_H-M 'P 1 m 1'
_symmetry_Int_Tables_number 6
_symmetry_space_group_name_Hall 'P -2y'
_cell_length_a 3.099
_cell_length_b 3.759
_cell_length_c 5.000
_cell_angle_alpha 90.00
_cell_angle_beta 108.04
_cell_angle_gamma 90.00
loop_
_atom_site_label
_atom_site_fract_x
_atom_site_fract_y
_atom_site_fract_z
Cu1 0.000 0.000 0.000
Mo1 0.269 0.000 0.541
Mo2 0.603 0.500 0.207
P1 0.864 0.500 0.732
```